(1)
This entry pairs a crystal structure of La3Nd2S8 with its simulated powder XRD pattern. Radiation: Cu Kα. Structure: the PBE geometry in Alexandria.

```
La3Nd2S8
1.0
7.122 -4.188 0.000
7.122 4.188 0.000
-2.559 0.000 6.585
La Nd S
3 2 8
Direct
0.000 0.000 0.000
0.265 0.735 0.500
0.735 0.265 0.500
0.267 0.267 0.851
0.733 0.733 0.149
0.102 0.644 0.084
0.118 0.118 0.441
0.356 0.898 0.916
0.381 0.381 0.599
0.619 0.619 0.401
0.644 0.102 0.084
0.882 0.882 0.559
0.898 0.356 0.916
```

Principal peaks in the range 10° ≤ 2θ ≤ 90°, sorted by position:
2θ/deg	Rel. int.
15.13	45
20.11	100
22.41	82
25.17	100
26.16	57
33.24	89
34.53	43
40.02	38
40.75	78
44.14	70



(2)
This entry pairs a crystal structure of La4NdS5 with its simulated powder XRD pattern. Radiation: Cu Kα. Structure: the PBE geometry in Alexandria.

```
La4NdS5
1.0
-2.069 2.928 10.354
2.069 -2.928 10.354
2.069 2.928 -10.354
La Nd S
4 1 5
Direct
0.100 0.100 0.000
0.301 0.301 0.000
0.699 0.699 0.000
0.900 0.900 0.000
0.500 0.500 0.000
0.000 0.500 0.500
0.200 0.700 0.500
0.402 0.902 0.500
0.598 0.098 0.500
0.800 0.300 0.500
```

Principal peaks in the range 10° ≤ 2θ ≤ 90°, sorted by position:
2θ/deg	Rel. int.
26.37	70
30.54	100
43.73	73
51.79	35
54.28	25
63.57	12
70.05	14
72.15	32
80.34	24
86.35	11